LiMn2F7: theoretical X-ray diffraction stick pattern (Cu Kα), based on DFT lattice parameters and positions (PBE+U).
Lines closer than 0.1° are merged.

abc: 13.1782 5.0199 7.4497
angles: 90.00 96.21 90.00
Space group P2_1/c (No. 14)
Inequivalent atoms, fractional coordinates:
Li1 0.0781 0.2397 0.3324 [4 per cell]
Mn1 0.1798 0.7488 0.6502 [4 per cell]
Mn2 0.3918 0.2467 0.2210 [4 per cell]
F1 0.0534 0.5654 0.1866 [4 per cell]
F2 0.1106 0.0523 0.0663 [4 per cell]
F3 0.1762 0.5830 0.9019 [4 per cell]
F4 0.2544 0.0434 0.7468 [4 per cell]
F5 0.3150 0.5543 0.6403 [4 per cell]
F6 0.3912 0.1324 0.4716 [4 per cell]
F7 0.4712 0.5406 0.2978 [4 per cell]

Most intense lines, 2θ = 15–90°, low angle first:
d 3.984, 2θ 22.31, I = 100, (2 1 0)
d 3.703, 2θ 24.03, I = 27, (0 0 2)
d 3.669, 2θ 24.26, I = 37, (1 0 -2)
d 3.295, 2θ 27.06, I = 31, (3 1 0)
d 2.626, 2θ 34.15, I = 27, (2 1 2)
d 2.280, 2θ 39.53, I = 24, (5 1 -1)
d 2.220, 2θ 40.64, I = 21, (1 1 -3)
d 1.754, 2θ 52.16, I = 20, (7 1 0)
d 1.708, 2θ 53.66, I = 25, (4 2 2)
d 1.700, 2θ 53.94, I = 17, (1 1 4)